Calculated PXRD pattern of BaV2P4O14 for λ = 1.5418 Å (Cu Kα), from a DFT-relaxed cell (GGA+U, Alexandria).
Lines closer than 0.1° are merged.

The 10 most intense peaks (2θ = 5–70°), by intensity:
- 2θ 24.84, rel. 100
- 2θ 28.28, rel. 71
- 2θ 26.38, rel. 67
- 2θ 13.72, rel. 59
- 2θ 30.24, rel. 53
- 2θ 27.37, rel. 47
- 2θ 23.47, rel. 45
- 2θ 44.73, rel. 44
- 2θ 35.64, rel. 38
- 2θ 33.53, rel. 36

Cell and atoms:
Cell: 7.592 7.592 9.940 Å, 99.38 99.38 89.37°
Positions (direct):
Ba1 0.000 0.500 0.000
Ba2 0.500 0.000 0.500
V1 0.000 0.000 0.000
V2 0.000 0.000 0.500
V3 0.455 0.545 0.750
V4 0.545 0.455 0.250
P1 0.179 0.260 0.298
P2 0.249 0.625 0.445
P3 0.260 0.179 0.798
P4 0.375 0.751 0.055
P5 0.625 0.249 0.945
P6 0.740 0.821 0.202
P7 0.751 0.375 0.555
P8 0.821 0.740 0.702
O1 0.055 0.214 0.159
O2 0.127 0.467 0.346
O3 0.145 0.148 0.405
O4 0.147 0.795 0.423
O5 0.148 0.145 0.905
O6 0.205 0.853 0.077
O7 0.214 0.055 0.659
O8 0.260 0.379 0.791
O9 0.270 0.593 0.594
O10 0.366 0.572 0.108
O11 0.379 0.260 0.291
O12 0.407 0.730 0.906
O13 0.428 0.634 0.392
O14 0.467 0.127 0.846
O15 0.533 0.873 0.154
O16 0.572 0.366 0.608
O17 0.593 0.270 0.094
O18 0.621 0.740 0.709
O19 0.634 0.428 0.892
O20 0.730 0.407 0.406
O21 0.740 0.621 0.209
O22 0.786 0.945 0.341
O23 0.795 0.147 0.923
O24 0.852 0.855 0.095
O25 0.853 0.205 0.577
O26 0.855 0.852 0.595
O27 0.873 0.533 0.654
O28 0.945 0.786 0.841